1.
Structure and simulated powder XRD pattern of Pm6SnAu5 (DFT lattice parameters and positions (PBE); λ = 1.5418 Å (Cu Kα)).
No peak broadening, texture or thermal motion is included.

Peak list (6 most intense, 15° ≤ 2θ ≤ 90°, low angle first)
hkl, 2theta, I/Imax
1 2 1, 34.0, 100
2 0 -1, 34.3, 20
2 0 2, 49.1, 14
1 2 4, 61.0, 15
3 2 0, 61.3, 15
2 4 2, 71.6, 9

Crystal structure
a b c (Å): 5.2276 7.4881 8.3082
angles (deg): 90.00 108.29 90.00
Space group P2/m (No. 10)
Inequivalent atoms, fractional coordinates:
Pm 0.0000 0.2402 0.0000
Pm 0.3300 0.2479 0.6594
Sn 0.5000 0.5000 0.0000
Au 0.1591 0.5000 0.3196
Au 0.1668 0.0000 0.3347
Au 0.5000 0.0000 0.0000

---

2.
Structure and simulated powder XRD pattern of AcHoSb2Rh5 (DFT lattice parameters and positions (PBE); λ = 1.5418 Å (Cu Kα)).
No peak broadening, texture or thermal motion is included.

Peak list (6 most intense, 15° ≤ 2θ ≤ 90°, low angle first)
hkl, 2theta, I/Imax
1 0 2, 27.9, 48
1 1 2, 34.3, 100
2 0 0, 39.7, 69
1 1 3, 41.1, 31
2 2 0, 57.4, 23
3 1 2, 68.6, 26

Crystal structure
a b c (Å): 4.5397 4.5397 9.0240
angles (deg): 90.00 90.00 90.00
Space group P4/mmm (No. 123)
Inequivalent atoms, fractional coordinates:
Ac 0.0000 0.0000 0.0000
Ho 0.0000 0.0000 0.5000
Sb 0.5000 0.5000 0.3440
Rh 0.0000 0.5000 0.2277
Rh 0.5000 0.5000 0.0000

---

3.
Structure and simulated powder XRD pattern of La2MgI8 (DFT lattice parameters and positions (PBE); λ = 1.5418 Å (Cu Kα)).
No peak broadening, texture or thermal motion is included.

Peak list (6 most intense, 15° ≤ 2θ ≤ 90°, low angle first)
hkl, 2theta, I/Imax
2 2 -2, 23.6, 55
4 0 0, 24.1, 56
2 2 2, 28.8, 100
0 0 4, 28.9, 35
4 0 -4, 29.7, 75
6 2 -2, 38.5, 56

Crystal structure
a b c (Å): 16.0152 9.7039 13.3793
angles (deg): 90.00 112.67 90.00
Space group C2/c (No. 15)
Inequivalent atoms, fractional coordinates:
La 0.2245 0.2293 0.1882
Mg 0.0000 0.0020 0.2500
I 0.1183 0.0643 0.6308
I 0.1198 0.2261 0.9113
I 0.1291 0.2113 0.3580
I 0.1296 0.4772 0.6459